# ErTlSi
Computed powder diffraction line list, λ = 1.5418 Å (Cu Kα). Input: a PBE-relaxed structure.
Neutral-atom scattering factors, no anomalous dispersion.

Crystal structure
Cell: 3.7251 3.7251 36.9622 Å, 90.00 90.00 120.00°
Space group R-3m (No. 166, hexagonal axes)
Unique sites:
Er (0.0000, 0.0000, 0.0994) x6
Tl (0.0000, 0.0000, 0.3647) x6
Si (0.0000, 0.0000, 0.1807) x6

The 6 most intense peaks (15° ≤ 2θ ≤ 90°), by angle:
2θ = 29.32°, rel. 100, hkl 1 0 4
2θ = 32.52°, rel. 43, hkl 1 0 7
2θ = 36.46°, rel. 23, hkl 0 0 15
2θ = 38.69°, rel. 59, hkl 0 1 11
2θ = 48.90°, rel. 35, hkl 1 1 0
2θ = 62.51°, rel. 30, hkl 1 1 15

# YErSi2
Computed powder diffraction line list, λ = 1.5418 Å (Cu Kα). Input: a PBE-relaxed structure.
Neutral-atom scattering factors, no anomalous dispersion.

Crystal structure
Cell: 3.826 4.258 10.498 Å, 90.00 90.00 90.00°
Space group Amm2 (No. 38)
Unique sites:
Y (0.000, 0.000, 0.000) x2
Er (0.500, 0.000, 0.719) x2
Si (0.000, 0.000, 0.282) x2
Si (0.500, 0.000, 0.436) x2

The 6 most intense peaks (15° ≤ 2θ ≤ 90°), by angle:
2θ = 22.54°, rel. 37, hkl 0 1 1
2θ = 28.88°, rel. 54, hkl 1 0 2
2θ = 32.60°, rel. 100, hkl 1 1 1
2θ = 33.14°, rel. 50, hkl 0 1 3
2θ = 34.16°, rel. 28, hkl 0 0 4
2θ = 40.87°, rel. 37, hkl 1 1 3

# YErSi4
Computed powder diffraction line list, λ = 1.5418 Å (Cu Kα). Input: a PBE-relaxed structure.
Neutral-atom scattering factors, no anomalous dispersion.

Crystal structure
Cell: 8.807 13.609 4.213 Å, 90.00 90.00 90.00°
Space group Pbam (No. 55)
Unique sites:
Y (0.047, 0.132, 0.000) x4
Er (0.146, 0.416, 0.000) x4
Si (0.041, 0.285, 0.500) x4
Si (0.098, 0.563, 0.500) x4
Si (0.140, 0.991, 0.500) x4
Si (0.185, 0.817, 0.500) x4

The 6 most intense peaks (15° ≤ 2θ ≤ 90°), by angle:
2θ = 16.46°, rel. 69, hkl 1 2 0
2θ = 30.08°, rel. 57, hkl 2 1 1
2θ = 33.87°, rel. 54, hkl 0 4 1
2θ = 35.41°, rel. 51, hkl 1 4 1
2θ = 35.51°, rel. 100, hkl 2 3 1
2θ = 37.94°, rel. 69, hkl 3 1 1

# Er2Zn16Si
Computed powder diffraction line list, λ = 1.5418 Å (Cu Kα). Input: a PBE-relaxed structure.
Neutral-atom scattering factors, no anomalous dispersion.

Crystal structure
Cell: 9.0298 9.0298 12.9263 Å, 90.00 90.00 120.00°
Space group R3m (No. 160, hexagonal axes)
Unique sites:
Er (0.0000, 0.0000, 0.0000) x3
Er (0.0000, 0.0000, 0.3350) x3
Zn (0.0000, 0.0000, 0.5769) x3
Zn (0.9995, 0.3085, 0.6684) x18
Zn (0.0076, 0.5038, 0.1680) x9
Zn (0.0105, 0.5052, 0.8244) x9
Zn (0.1722, 0.3444, 0.8462) x9
Si (0.0000, 0.0000, 0.7721) x3

The 6 most intense peaks (15° ≤ 2θ ≤ 90°), by angle:
2θ = 28.64°, rel. 29, hkl 1 1 3
2θ = 34.40°, rel. 35, hkl 3 0 0
2θ = 39.94°, rel. 46, hkl 2 2 0
2θ = 40.44°, rel. 100, hkl 0 3 3
2θ = 41.92°, rel. 41, hkl 0 0 6
2θ = 45.35°, rel. 22, hkl 2 2 3